For Na2CeHf2Se6, a structure optimized by DFT (GGA-PBE) gives the calculated powder X-ray diffraction pattern in this record (λ = 1.5418 Å (Cu Kα)).
Intensities are scaled so that the largest is 100.

Crystal structure
Unit cell a=6.878 b=6.878 c=7.493 alpha=98.51 beta=98.51 gamma=120.70
Sites, in units of the cell vectors:
Na 0.160 0.840 0.000
Na 0.840 0.160 0.000
Ce 0.000 0.000 0.500
Hf 0.333 0.667 0.500
Hf 0.667 0.333 0.500
Se 0.071 0.429 0.723
Se 0.288 0.288 0.276
Se 0.429 0.071 0.723
Se 0.571 0.929 0.277
Se 0.712 0.712 0.724
Se 0.929 0.571 0.277

Peak list (12 most intense, 15 to 90 degrees two-theta, sorted by position)
26.2 deg, 3.397 Å, intensity 25; 26.5 deg, 3.359 Å, intensity 14; 30.9 deg, 2.897 Å, intensity 100; 31.2 deg, 2.868 Å, intensity 49; 39.3 deg, 2.290 Å, intensity 22; 42.8 deg, 2.112 Å, intensity 57; 45.5 deg, 1.993 Å, intensity 17; 46.0 deg, 1.971 Å, intensity 32; 47.9 deg, 1.901 Å, intensity 16; 54.1 deg, 1.695 Å, intensity 16; 56.2 deg, 1.636 Å, intensity 18; 64.3 deg, 1.449 Å, intensity 10